Starting from a GGA-PBE-relaxed structure, the PXRD pattern of PmNd6Er2Th was calculated for Cu Ka.
Peak positions follow from Bragg's law for the DFT cell and can differ from measured ones.

Cell and atoms:
```
data_PmNd6Er2Th
_chemical_formula_sum 'Pm2 Nd12 Er4 Th2'
_cell_length_a 8.8807
_cell_length_b 8.8807
_cell_length_c 9.7743
_cell_angle_alpha 94.19
_cell_angle_beta 94.19
_cell_angle_gamma 115.97
_symmetry_space_group_name_H-M 'P 1'
_symmetry_Int_Tables_number 1
loop_
_symmetry_equiv_pos_as_xyz
'x,y,z'
loop_
_atom_site_label
_atom_site_fract_x
_atom_site_fract_y
_atom_site_fract_z
Pm1 0.0942 0.9058 0.7500
Pm2 0.9058 0.0942 0.2500
Nd1 0.0129 0.7987 0.3811
Nd2 0.0758 0.5133 0.1858
Nd3 0.2013 0.9871 0.1189
Nd4 0.2603 0.6069 0.5585
Nd5 0.3931 0.7397 0.9415
Nd6 0.4867 0.9242 0.3142
Nd7 0.5133 0.0758 0.6858
Nd8 0.6069 0.2603 0.0585
Nd9 0.7397 0.3931 0.4415
Nd10 0.7987 0.0129 0.8811
Nd11 0.9242 0.4867 0.8142
Nd12 0.9871 0.2013 0.6189
Er1 0.2118 0.3023 0.9484
Er2 0.3023 0.2118 0.4484
Er3 0.6977 0.7882 0.5516
Er4 0.7882 0.6977 0.0516
Th1 0.4686 0.5314 0.2500
Th2 0.5314 0.4686 0.7500
```

Largest 6 diffraction maxima, low angle first, 2θ = 10–90°:
Position (°2θ)  d/Å  I_rel
28.2  3.163  60
29.5  3.024  61
30.1  2.966  66
30.8  2.905  81
31.2  2.870  100
32.2  2.781  38